Entry 1:
Diffraction record for Pr4SmEr8. The powder XRD pattern is simulated, not measured: it uses DFT lattice parameters and positions (PBE) and CuKα.
Neutral-atom scattering factors, no anomalous dispersion.

Peak list (8 most intense, 10 to 90 degrees two-theta, by angle)
d (Å)  2theta  I/Imax  hkl
4.512  19.67  10  0 0 3
3.908  22.75  10  2 0 2
2.763  32.40  100  2 2 0
1.954  46.47  18  4 0 4
1.597  57.74  28  6 0 0
1.592  57.93  9  2 0 8
1.237  77.12  8  6 2 4
1.235  77.27  8  4 2 8

Structural model:
Unit cell a=11.0682 b=11.0682 c=13.5010 alpha=90.00 beta=90.00 gamma=120.00
Space group R-3m (No. 166, hexagonal axes)
Symmetry-distinct sites (fractional):
Pr 0.0000 0.0000 0.0000 x3
Pr 0.0000 0.5000 0.0000 x9
Sm 0.0000 0.0000 0.5000 x3
Er 0.0000 0.0000 0.2396 x6
Er 0.0134 0.5067 0.7457 x18

=====

Entry 2:
Diffraction record for Pr2Sm7Er3. The powder XRD pattern is simulated, not measured: it uses DFT lattice parameters and positions (PBE) and CuKα.
Neutral-atom scattering factors, no anomalous dispersion.

Peak list (8 most intense, 10 to 90 degrees two-theta, by angle)
d (Å)  2theta  I/Imax  hkl
3.039  29.39  59  1 1 1
2.938  30.43  81  2 0 -3
2.926  30.55  95  0 0 6
2.888  30.97  100  1 1 2
2.690  33.31  67  2 0 3
2.602  34.47  82  1 1 -4
1.836  49.65  38  3 1 -1
1.565  59.04  39  3 1 5

Structural model:
Unit cell a=6.4289 b=3.5632 c=17.6528 alpha=90.00 beta=96.01 gamma=90.00
Space group P2/m (No. 10)
Symmetry-distinct sites (fractional):
Pr 0.0594 0.0000 0.1714 x2
Sm 0.0000 0.5000 0.5000 x1
Sm 0.2286 0.0000 0.6687 x2
Sm 0.2580 0.0000 0.9973 x2
Sm 0.2772 0.5000 0.3368 x2
Er 0.4528 0.5000 0.8417 x2
Er 0.5000 0.0000 0.5000 x1

=====

Entry 3:
Diffraction record for Pr4Sm3Er. The powder XRD pattern is simulated, not measured: it uses DFT lattice parameters and positions (PBE) and CuKα.
Neutral-atom scattering factors, no anomalous dispersion.

Peak list (8 most intense, 10 to 90 degrees two-theta, by angle)
d (Å)  2theta  I/Imax  hkl
2.984  29.94  100  2 2 0
2.584  34.71  51  4 0 0
1.827  49.90  36  4 2 2
1.560  59.22  14  6 2 0
1.557  59.34  29  2 4 2
1.492  62.22  12  4 4 0
1.186  81.09  15  6 4 2
1.155  83.73  11  4 4 4

Structural model:
Unit cell a=10.3551 b=7.3042 c=7.3031 alpha=90.00 beta=90.00 gamma=90.00
Space group Pmna (No. 53)
Symmetry-distinct sites (fractional):
Pr 0.0000 0.0000 0.0000 x2
Pr 0.0000 0.5000 0.5000 x2
Pr 0.2500 0.2485 0.2500 x4
Sm 0.0000 0.5000 0.0000 x2
Sm 0.2500 0.2484 0.7500 x4
Er 0.0000 0.0000 0.5000 x2

=====

Entry 4:
Diffraction record for Pr7Sm16Er6. The powder XRD pattern is simulated, not measured: it uses DFT lattice parameters and positions (PBE) and CuKα.
Neutral-atom scattering factors, no anomalous dispersion.

Peak list (8 most intense, 10 to 90 degrees two-theta, by angle)
d (Å)  2theta  I/Imax  hkl
3.586  24.83  6  4 2 0
3.274  27.24  6  4 2 2
3.086  28.93  9  3 3 3
2.835  31.56  100  4 4 0
2.005  45.23  14  8 0 0
1.637  56.20  28  8 4 4
1.418  65.89  8  8 8 0
1.268  74.90  8  12 4 0

Structural model:
Unit cell a=16.0372 b=16.0372 c=16.0372 alpha=90.00 beta=90.00 gamma=90.00
Space group Fm-3m (No. 225)
Symmetry-distinct sites (fractional):
Pr 0.0000 0.0000 0.0000 x4
Pr 0.0000 0.2500 0.2500 x24
Sm 0.1261 0.1261 0.1261 x32
Sm 0.1508 0.1508 0.3492 x32
Er 0.0000 0.0000 0.2627 x24

=====

Entry 5:
Diffraction record for Pr7Sm2Er4. The powder XRD pattern is simulated, not measured: it uses DFT lattice parameters and positions (PBE) and CuKα.
Neutral-atom scattering factors, no anomalous dispersion.

Peak list (8 most intense, 10 to 90 degrees two-theta, by angle)
d (Å)  2theta  I/Imax  hkl
3.419  26.06  11  1 0 3
3.309  26.95  19  0 0 4
3.123  28.59  17  1 1 0
3.039  29.39  33  1 1 1
2.824  31.69  100  2 -1 2
2.549  35.21  23  1 1 3
1.802  50.65  37  3 0 0
1.219  78.47  15  2 -1 10

Structural model:
Unit cell a=6.2452 b=6.2452 c=13.2355 alpha=90.00 beta=90.00 gamma=120.00
Space group P-31m (No. 162)
Symmetry-distinct sites (fractional):
Pr 0.0000 0.0000 0.0000 x1
Pr 0.0000 0.3737 0.2263 x6
Sm 0.3333 0.6667 0.0000 x2
Er 0.0000 0.0000 0.3926 x2
Er 0.3333 0.6667 0.5000 x2

=====

Entry 6:
Diffraction record for Pr7Sm2Er. The powder XRD pattern is simulated, not measured: it uses DFT lattice parameters and positions (PBE) and CuKα.
Neutral-atom scattering factors, no anomalous dispersion.

Peak list (8 most intense, 10 to 90 degrees two-theta, by angle)
d (Å)  2theta  I/Imax  hkl
3.074  29.05  75  2 4 0
3.001  29.77  79  0 10 0
2.955  30.24  100  1 3 1
2.857  31.30  31  0 6 1
2.795  32.03  65  2 6 0
2.508  35.80  60  1 7 1
2.304  39.09  24  2 4 1
1.740  52.58  26  0 0 2

Structural model:
Unit cell a=6.7398 b=30.0089 c=3.4816 alpha=90.00 beta=90.00 gamma=90.00
Space group Cmmm (No. 65)
Symmetry-distinct sites (fractional):
Pr 0.0000 0.0000 0.0000 x2
Pr 0.0000 0.1900 0.5000 x4
Pr 0.2409 0.4009 0.0000 x8
Sm 0.0000 0.2933 0.0000 x4
Er 0.0000 0.5000 0.5000 x2

=====

Entry 7:
Diffraction record for Pr3Sm2Er5. The powder XRD pattern is simulated, not measured: it uses DFT lattice parameters and positions (PBE) and CuKα.
Neutral-atom scattering factors, no anomalous dispersion.

Peak list (8 most intense, 10 to 90 degrees two-theta, by angle)
d (Å)  2theta  I/Imax  hkl
2.982  29.96  100  2 4 -2
2.913  30.70  91  2 2 1
2.797  32.00  20  0 4 2
2.663  33.65  44  4 0 -2
1.864  48.85  19  0 6 3
1.527  60.63  24  4 6 1
1.444  64.54  19  2 10 1
1.390  67.39  19  2 4 4

Structural model:
Unit cell a=10.6538 b=16.2910 c=9.3563 alpha=90.00 beta=124.68 gamma=90.00
Space group C2/c (No. 15)
Symmetry-distinct sites (fractional):
Pr 0.0000 0.2331 0.2500 x4
Pr 0.1481 0.1238 0.0476 x8
Sm 0.1481 0.3811 0.5456 x8
Er 0.0000 0.0258 0.2500 x4
Er 0.0000 0.2725 0.7500 x4
Er 0.0000 0.4721 0.7500 x4
Er 0.2462 0.3868 0.2401 x8

=====

Entry 8:
Diffraction record for Pr8SmEr6. The powder XRD pattern is simulated, not measured: it uses DFT lattice parameters and positions (PBE) and CuKα.
Neutral-atom scattering factors, no anomalous dispersion.

Peak list (8 most intense, 10 to 90 degrees two-theta, by angle)
d (Å)  2theta  I/Imax  hkl
3.089  28.91  79  2 0 1
3.055  29.23  100  1 3 0
2.778  32.22  90  2 1 1
2.420  37.15  25  2 2 1
2.404  37.41  28  4 1 0
2.021  44.86  26  4 1 1
1.748  52.34  23  1 5 1
1.592  57.93  29  1 3 2

Structural model:
Unit cell a=12.7206 b=12.7206 c=3.7301 alpha=90.00 beta=90.00 gamma=120.00
Space group P6/m (No. 175)
Symmetry-distinct sites (fractional):
Pr 0.0956 0.3256 0.0000 x6
Pr 0.3333 0.6667 0.0000 x2
Sm 0.0000 0.0000 0.5000 x1
Er 0.1150 0.6285 0.5000 x6

=====

Entry 9:
Diffraction record for PrSm6Er6. The powder XRD pattern is simulated, not measured: it uses DFT lattice parameters and positions (PBE) and CuKα.
Neutral-atom scattering factors, no anomalous dispersion.

Peak list (8 most intense, 10 to 90 degrees two-theta, by angle)
d (Å)  2theta  I/Imax  hkl
3.349  26.62  32  1 1 0
2.900  30.83  56  2 0 0
2.889  30.96  81  1 1 2
2.854  31.34  31  0 0 4
2.586  34.69  100  2 0 2
2.561  35.04  32  1 0 4
1.674  54.83  36  2 2 0
1.654  55.55  29  1 1 6

Structural model:
Unit cell a=6.6978 b=6.6978 c=11.4171 alpha=90.00 beta=90.00 gamma=120.00
Space group P6/mmm (No. 191)
Symmetry-distinct sites (fractional):
Pr 0.0000 0.0000 0.0000 x1
Sm 0.0000 0.0000 0.3474 x2
Sm 0.3333 0.6667 0.0000 x2
Sm 0.3333 0.6667 0.5000 x2
Er 0.0000 0.5000 0.2462 x6

=====

Entry 10:
Diffraction record for Pr4Sm5Er. The powder XRD pattern is simulated, not measured: it uses DFT lattice parameters and positions (PBE) and CuKα.
Neutral-atom scattering factors, no anomalous dispersion.

Peak list (8 most intense, 10 to 90 degrees two-theta, by angle)
d (Å)  2theta  I/Imax  hkl
3.210  27.79  21  2 2 1
3.079  29.00  100  3 0 1
2.963  30.16  48  3 1 1
2.810  31.85  34  1 0 2
2.566  34.97  36  3 3 0
1.815  50.28  16  6 0 0
1.743  52.50  29  4 3 2
1.563  59.09  17  6 3 1

Structural model:
Unit cell a=10.8876 b=10.8876 c=5.8165 alpha=90.00 beta=90.00 gamma=90.00
Space group P4/nmm (No. 129, origin choice 2)
Symmetry-distinct sites (fractional):
Pr 0.0434 0.7500 0.1314 x8
Sm 0.0889 0.0889 0.3370 x8
Sm 0.2500 0.7500 0.5000 x2
Er 0.2500 0.2500 0.8658 x2

=====

Entry 11:
Diffraction record for Pr4SmEr10. The powder XRD pattern is simulated, not measured: it uses DFT lattice parameters and positions (PBE) and CuKα.
Neutral-atom scattering factors, no anomalous dispersion.

Peak list (8 most intense, 10 to 90 degrees two-theta, by angle)
d (Å)  2theta  I/Imax  hkl
3.258  27.37  26  2 0 2
2.909  30.73  27  3 2 1
2.818  31.76  100  4 0 0
2.657  33.73  36  3 3 0
2.592  34.60  16  1 0 3
2.210  40.82  34  3 3 2
1.720  53.26  16  5 0 3
1.387  67.54  17  7 3 2

Structural model:
Unit cell a=11.2615 b=11.2615 c=7.9910 alpha=90.00 beta=90.00 gamma=90.00
Space group I4/mmm (No. 139)
Symmetry-distinct sites (fractional):
Pr 0.2271 0.2271 0.0000 x8
Sm 0.0000 0.0000 0.0000 x2
Er 0.0000 0.2077 0.2953 x16
Er 0.0000 0.5000 0.2500 x4

=====

Entry 12:
Diffraction record for Pr4Sm4Er5. The powder XRD pattern is simulated, not measured: it uses DFT lattice parameters and positions (PBE) and CuKα.
Neutral-atom scattering factors, no anomalous dispersion.

Peak list (8 most intense, 10 to 90 degrees two-theta, by angle)
d (Å)  2theta  I/Imax  hkl
2.946  30.33  100  3 2 1
2.556  35.10  34  1 5 0
2.543  35.30  17  0 0 2
1.808  50.49  12  6 4 0
1.803  50.64  24  1 5 2
1.541  60.05  29  8 1 1
1.535  60.31  14  3 2 3
1.473  63.11  12  6 4 2

Structural model:
Unit cell a=13.0348 b=13.0348 c=5.0852 alpha=90.00 beta=90.00 gamma=90.00
Space group I4/m (No. 87)
Symmetry-distinct sites (fractional):
Pr 0.0793 0.3826 0.0000 x8
Sm 0.1522 0.7720 0.0000 x8
Er 0.0000 0.0000 0.0000 x2
Er 0.0386 0.1883 0.5000 x8